# Rb2LiNdB2O6
Theoretical X-ray diffraction stick pattern, Cu Kα (λ = 1.5418 Å). Input: a cell relaxed with PBE.
No peak broadening, texture or thermal motion is included.

Most intense lines, 10 to 90 degrees two-theta, low angle first:
hkl, 2θ/deg, d_spacing, intensity
1 0 2, 21.26, 4.180, 44
1 1 2, 23.12, 3.848, 75
0 2 2, 25.08, 3.551, 38
1 3 0, 29.89, 2.989, 100
1 1 3, 30.32, 2.948, 72
0 4 2, 40.67, 2.218, 35

Structural model:
```
data_Rb2LiNdB2O6
_cell_length_a 7.2260
_cell_length_b 9.8506
_cell_length_c 10.2484
_cell_angle_alpha 90.00
_cell_angle_beta 90.00
_cell_angle_gamma 90.00
_space_group_name_H-M_alt 'P 1'
_space_group_IT_number 1
loop_
_space_group_symop_operation_xyz
'x,y,z'
loop_
_atom_site_label
_atom_site_fract_x
_atom_site_fract_y
_atom_site_fract_z
Rb1 0.2220 0.0835 0.0572
Rb2 0.2220 0.0835 0.4428
Rb3 0.2220 0.4165 0.5572
Rb4 0.2220 0.4165 0.9428
Rb5 0.7780 0.5835 0.0572
Rb6 0.7780 0.5835 0.4428
Rb7 0.7780 0.9165 0.5572
Rb8 0.7780 0.9165 0.9428
Li1 0.0515 0.1530 0.7500
Li2 0.0515 0.3470 0.2500
Li3 0.9485 0.6530 0.7500
Li4 0.9485 0.8470 0.2500
Nd1 0.3597 0.7364 0.2500
Nd2 0.3597 0.7636 0.7500
Nd3 0.6403 0.2364 0.2500
Nd4 0.6403 0.2636 0.7500
B1 0.1909 0.7500 0.0000
B2 0.1909 0.7500 0.5000
B3 0.3458 0.0607 0.7500
B4 0.3458 0.4393 0.2500
B5 0.6542 0.5607 0.7500
B6 0.6542 0.9393 0.2500
B7 0.8091 0.2500 0.0000
B8 0.8091 0.2500 0.5000
O1 0.1008 0.6972 0.6074
O2 0.1008 0.6972 0.8926
O3 0.1008 0.8028 0.1074
O4 0.1008 0.8028 0.3926
O5 0.1917 0.5238 0.2500
O6 0.1917 0.9762 0.7500
O7 0.3190 0.2010 0.7500
O8 0.3190 0.2990 0.2500
O9 0.3855 0.7500 0.0000
O10 0.3855 0.7500 0.5000
O11 0.4776 0.5054 0.7500
O12 0.4776 0.9946 0.2500
O13 0.5224 0.0054 0.7500
O14 0.5224 0.4946 0.2500
O15 0.6145 0.2500 0.0000
O16 0.6145 0.2500 0.5000
O17 0.6810 0.7010 0.7500
O18 0.6810 0.7990 0.2500
O19 0.8083 0.0238 0.2500
O20 0.8083 0.4762 0.7500
O21 0.8992 0.1972 0.6074
O22 0.8992 0.1972 0.8926
O23 0.8992 0.3028 0.1074
O24 0.8992 0.3028 0.3926
```